[1]
Structure and simulated powder diffractogram of Pr3Sm4Ga4 (a crystal structure in Alexandria, relaxed with PBE; λ = 1.5418 Å (Cu Kα)).

abc: 4.4550 8.1318 17.3883
angles: 90.00 90.00 90.00
Space group Immm (No. 71)
Asymmetric unit:
1 Pr 0.0000 0.0000 0.0000
2 Pr 0.0000 0.5000 0.1070
3 Sm 0.0000 0.2979 0.3333
4 Ga 0.0000 0.0000 0.2370
5 Ga 0.0000 0.1877 0.5000

Principal peaks in the range 2θ from 10° to 90°, in order of falling intensity:
2θ 30.20, 2.959 Å, I = 100, hkl 1 2 1
2θ 30.78, 2.905 Å, I = 99, hkl 1 1 4
2θ 36.60, 2.455 Å, I = 39, hkl 0 3 3
2θ 40.50, 2.227 Å, I = 37, hkl 2 0 0
2θ 27.90, 3.198 Å, I = 30, hkl 0 1 5
2θ 38.13, 2.360 Å, I = 29, hkl 0 2 6
2θ 25.21, 3.532 Å, I = 28, hkl 1 0 3
2θ 33.61, 2.666 Å, I = 23, hkl 1 2 3
2θ 55.72, 1.650 Å, I = 23, hkl 2 3 3
2θ 32.67, 2.741 Å, I = 21, hkl 1 0 5
2θ 64.67, 1.441 Å, I = 20, hkl 1 5 4
2θ 51.56, 1.773 Å, I = 20, hkl 1 0 9

[2]
Structure and simulated powder diffractogram of Y4HoSc6 (a crystal structure in Alexandria, relaxed with PBE; λ = 1.5418 Å (Cu Kα)).

abc: 6.3567 6.3567 15.7475
angles: 90.00 90.00 90.00
Space group I-42m (No. 121)
Asymmetric unit:
1 Y 0.1920 0.1920 0.3201
2 Ho 0.0000 0.0000 0.5000
3 Sc 0.0000 0.5000 0.0000
4 Sc 0.1708 0.1708 0.1126

Principal peaks in the range 2θ from 10° to 90°, in order of falling intensity:
2θ 31.99, 2.798 Å, I = 100, hkl 2 1 1
2θ 30.33, 2.947 Å, I = 89, hkl 2 0 2
2θ 30.18, 2.962 Å, I = 68, hkl 1 1 4
2θ 15.03, 5.895 Å, I = 63, hkl 1 0 1
2θ 31.71, 2.822 Å, I = 56, hkl 1 0 5
2θ 36.33, 2.473 Å, I = 51, hkl 2 0 4
2θ 35.93, 2.500 Å, I = 38, hkl 2 1 3
2θ 40.12, 2.247 Å, I = 31, hkl 2 2 0
2θ 60.15, 1.538 Å, I = 29, hkl 3 2 5
2θ 60.32, 1.534 Å, I = 27, hkl 4 1 1
2θ 46.20, 1.965 Å, I = 24, hkl 3 0 3
2θ 34.16, 2.625 Å, I = 23, hkl 0 0 6